1.
Calculated powder diffraction line list of Ba5Zn for Cu Kα (λ = 1.5418 Å), from a DFT-relaxed cell (PBE, Alexandria).
Peak positions follow from Bragg's law for the DFT cell and can differ from measured ones.

Most intense lines, 5° ≤ 2θ ≤ 70°, in order of rising 2θ:
- 23.2°, rel. 41, hkl 1 0 2
- 25.3°, rel. 28, hkl 0 0 5
- 25.8°, rel. 100, hkl 1 0 3
- 29.6°, rel. 61, hkl 1 1 0
- 39.3°, rel. 34, hkl 1 1 5
- 42.3°, rel. 23, hkl 2 0 0
- 46.4°, rel. 17, hkl 1 0 8
- 50.0°, rel. 17, hkl 2 0 5
- 50.3°, rel. 32, hkl 2 1 3
- 60.9°, rel. 19, hkl 1 1 10

```
data_Ba5Zn
_cell_length_a 4.2685
_cell_length_b 4.2685
_cell_length_c 17.6170
_cell_angle_alpha 90.00
_cell_angle_beta 90.00
_cell_angle_gamma 90.00
_symmetry_space_group_name_H-M 'P 4/m m m'
_symmetry_Int_Tables_number 123
_symmetry_space_group_name_Hall '-P 4 2'
loop_
_atom_site_label
_atom_site_type_symbol
_atom_site_fract_x
_atom_site_fract_y
_atom_site_fract_z
Ba1 Ba 0.0000 0.0000 0.0000
Ba2 Ba 0.0000 0.0000 0.3911
Ba3 Ba 0.5000 0.5000 0.1932
Zn1 Zn 0.5000 0.5000 0.5000
```

=====

2.
Calculated powder diffraction line list of KAgRuCl6 for Cu Kα (λ = 1.5418 Å), from a DFT-relaxed cell (PBE, Alexandria).
Peak positions follow from Bragg's law for the DFT cell and can differ from measured ones.

Most intense lines, 5° ≤ 2θ ≤ 70°, in order of rising 2θ:
- 13.3°, rel. 99, hkl 0 0 1
- 15.1°, rel. 37, hkl 1 0 0
- 20.2°, rel. 100, hkl 1 0 1
- 26.3°, rel. 26, hkl 1 1 0
- 29.6°, rel. 74, hkl 2 -1 1
- 33.4°, rel. 20, hkl 2 0 1
- 37.9°, rel. 93, hkl 2 -1 2
- 43.0°, rel. 31, hkl 3 -1 1
- 46.4°, rel. 34, hkl 3 0 0
- 49.1°, rel. 25, hkl 1 1 3

```
data_KAgRuCl6
_cell_length_a 6.7789
_cell_length_b 6.7789
_cell_length_c 6.6494
_cell_angle_alpha 90.00
_cell_angle_beta 90.00
_cell_angle_gamma 120.00
_symmetry_space_group_name_H-M 'P 3 1 2'
_symmetry_Int_Tables_number 149
loop_
_symmetry_equiv_pos_as_xyz
'x,y,z'
'-y,x-y,z'
'-x+y,-x,z'
'-y,-x,-z'
'-x+y,y,-z'
'x,x-y,-z'
loop_
_atom_site_label
_atom_site_type_symbol
_atom_site_fract_x
_atom_site_fract_y
_atom_site_fract_z
K1 K 0.0000 0.0000 0.0000
Ag1 Ag 0.3333 0.6667 0.5000
Ru1 Ru 0.6667 0.3333 0.5000
Cl1 Cl 0.3892 0.0424 0.7029
```

=====

3.
Calculated powder diffraction line list of Dy2Ho6Al for Cu Kα (λ = 1.5418 Å), from a DFT-relaxed cell (PBE, Alexandria).
Peak positions follow from Bragg's law for the DFT cell and can differ from measured ones.

Most intense lines, 5° ≤ 2θ ≤ 70°, in order of rising 2θ:
- 26.2°, rel. 12, hkl 2 1 1
- 31.2°, rel. 27, hkl 0 3 1
- 32.1°, rel. 100, hkl 3 0 1
- 32.6°, rel. 68, hkl 1 3 1
- 33.3°, rel. 14, hkl 3 1 1
- 33.6°, rel. 41, hkl 0 0 2
- 38.2°, rel. 12, hkl 3 3 0
- 47.1°, rel. 23, hkl 2 3 2
- 51.8°, rel. 12, hkl 3 3 2
- 59.1°, rel. 16, hkl 3 0 3

```
data_Dy2Ho6Al
_cell_length_a 9.8174
_cell_length_b 10.1803
_cell_length_c 5.3330
_cell_angle_alpha 90.00
_cell_angle_beta 90.00
_cell_angle_gamma 90.00
_symmetry_space_group_name_H-M 'P n n m'
_symmetry_Int_Tables_number 58
loop_
_symmetry_equiv_pos_as_xyz
'x,y,z'
'-x,-y,-z'
'-x,-y,z'
'x,y,-z'
'x+1/2,-y+1/2,-z+1/2'
'-x+1/2,y+1/2,z+1/2'
'-x+1/2,y+1/2,-z+1/2'
'x+1/2,-y+1/2,z+1/2'
loop_
_atom_site_label
_atom_site_type_symbol
_atom_site_fract_x
_atom_site_fract_y
_atom_site_fract_z
Dy1 Dy 0.1966 0.2358 0.0000
Ho1 Ho 0.0227 0.3139 0.5000
Ho2 Ho 0.1327 0.8906 0.0000
Ho3 Ho 0.1851 0.5629 0.0000
Al1 Al 0.0000 0.0000 0.5000
```

=====

4.
Calculated powder diffraction line list of Li13Ca3 for Cu Kα (λ = 1.5418 Å), from a DFT-relaxed cell (PBE, Alexandria).
Peak positions follow from Bragg's law for the DFT cell and can differ from measured ones.

Most intense lines, 5° ≤ 2θ ≤ 70°, in order of rising 2θ:
- 12.7°, rel. 72, hkl 0 1 1
- 16.7°, rel. 27, hkl 1 1 1
- 18.6°, rel. 45, hkl 0 2 0
- 25.2°, rel. 65, hkl 2 1 1
- 27.9°, rel. 45, hkl 0 1 3
- 28.0°, rel. 29, hkl 2 0 2
- 33.8°, rel. 100, hkl 2 2 2
- 35.3°, rel. 22, hkl 0 0 4
- 36.8°, rel. 17, hkl 2 3 1
- 37.7°, rel. 19, hkl 0 4 0

```
data_Li13Ca3
_cell_length_a 8.1903
_cell_length_b 9.5459
_cell_length_c 10.1742
_cell_angle_alpha 90.00
_cell_angle_beta 90.00
_cell_angle_gamma 90.00
_symmetry_space_group_name_H-M 'A m m 2'
_symmetry_Int_Tables_number 38
loop_
_symmetry_equiv_pos_as_xyz
'x,y,z'
'-x,-y,z'
'-x,y,z'
'x,-y,z'
'x,y+1/2,z+1/2'
'-x,-y+1/2,z+1/2'
'-x,y+1/2,z+1/2'
'x,-y+1/2,z+1/2'
loop_
_atom_site_label
_atom_site_type_symbol
_atom_site_fract_x
_atom_site_fract_y
_atom_site_fract_z
Li1 Li 0.0000 0.0000 0.0000
Li2 Li 0.0000 0.0000 0.5496
Li3 Li 0.0000 0.2160 0.7814
Li4 Li 0.2192 0.2435 0.5303
Li5 Li 0.2428 0.0000 0.7522
Li6 Li 0.5000 0.0000 0.5458
Li7 Li 0.5000 0.2315 0.7481
Ca1 Ca 0.2402 0.0000 0.2872
Ca2 Ca 0.5000 0.0000 0.9914
```

=====

5.
Calculated powder diffraction line list of YHo4Mg for Cu Kα (λ = 1.5418 Å), from a DFT-relaxed cell (PBE, Alexandria).
Peak positions follow from Bragg's law for the DFT cell and can differ from measured ones.

Most intense lines, 5° ≤ 2θ ≤ 70°, in order of rising 2θ:
- 29.4°, rel. 18, hkl 0 2 0
- 30.5°, rel. 51, hkl 0 2 1
- 31.8°, rel. 48, hkl 0 0 4
- 33.5°, rel. 100, hkl 3 1 -3
- 33.6°, rel. 50, hkl 3 1 1
- 38.1°, rel. 19, hkl 0 2 3
- 52.2°, rel. 36, hkl 6 0 -2
- 57.8°, rel. 21, hkl 3 1 -7
- 62.3°, rel. 21, hkl 6 0 -6
- 63.4°, rel. 16, hkl 0 4 2

```
data_YHo4Mg
_cell_length_a 10.5094
_cell_length_b 6.0784
_cell_length_c 11.7931
_cell_angle_alpha 90.00
_cell_angle_beta 107.54
_cell_angle_gamma 90.00
_symmetry_space_group_name_H-M 'C 1 2/c 1'
_symmetry_Int_Tables_number 15
loop_
_symmetry_equiv_pos_as_xyz
'x,y,z'
'-x,-y,-z'
'-x,y,-z+1/2'
'x,-y,z+1/2'
'x+1/2,y+1/2,z'
'-x+1/2,-y+1/2,-z'
'-x+1/2,y+1/2,-z+1/2'
'x+1/2,-y+1/2,z+1/2'
loop_
_atom_site_label
_atom_site_type_symbol
_atom_site_fract_x
_atom_site_fract_y
_atom_site_fract_z
Y1 Y 0.2500 0.2500 0.0000
Ho1 Ho 0.0821 0.2470 0.5004
Ho2 Ho 0.1661 0.4160 0.2503
Mg1 Mg 0.0000 0.0834 0.7500
```